Calculated X-ray powder pattern of TbSm6Th4 for Cu Kα (λ = 1.5418 Å), from a cell relaxed with PBE.

Crystal structure
```
data_TbSm6Th4
_cell_length_a 3.478
_cell_length_b 5.920
_cell_length_c 36.007
_cell_angle_alpha 90.00
_cell_angle_beta 90.00
_cell_angle_gamma 90.00
_space_group_name_H-M_alt 'I m m m'
_space_group_IT_number 71
_space_group_name_Hall '-I 2 2'
loop_
_atom_site_label
_atom_site_fract_x
_atom_site_fract_y
_atom_site_fract_z
Tb1 0.000 0.000 0.000
Sm1 0.000 0.500 0.131
Sm2 0.000 0.500 0.232
Sm3 0.000 0.500 0.405
Th1 0.000 0.000 0.182
Th2 0.000 0.000 0.457
```

Principal peaks in the range 2θ = 10–90°, in order of falling intensity:
- hkl 0 1 11, 31.2 deg, rel. 100.0
- hkl 0 2 0, 30.2 deg, rel. 70.2
- hkl 1 1 6, 33.4 deg, rel. 41.1
- hkl 1 1 8, 36.0 deg, rel. 39.9
- hkl 1 0 3, 26.7 deg, rel. 29.4
- hkl 2 1 11, 62.5 deg, rel. 28.2
- hkl 0 3 11, 54.3 deg, rel. 21.5
- hkl 1 2 3, 40.7 deg, rel. 19.5
- hkl 1 0 5, 28.5 deg, rel. 18.8
- hkl 1 1 4, 31.4 deg, rel. 16.9